1.
# KHgAs
Simulated X-ray powder pattern, Cu Ka. Input: a cell relaxed with PBE.

Structural model:
```
data_KHgAs
_chemical_formula_sum 'K2 Hg2 As2'
_cell_length_a 4.623
_cell_length_b 4.623
_cell_length_c 10.249
_cell_angle_alpha 90.00
_cell_angle_beta 90.00
_cell_angle_gamma 120.00
_symmetry_space_group_name_H-M 'P 1'
_symmetry_Int_Tables_number 1
loop_
_symmetry_equiv_pos_as_xyz
'x,y,z'
loop_
_atom_site_label
_atom_site_fract_x
_atom_site_fract_y
_atom_site_fract_z
_atom_site_occupancy
K1 0.000 0.000 0.000 1
K2 0.000 0.000 0.500 1
Hg1 0.333 0.667 0.250 1
Hg2 0.667 0.333 0.750 1
As1 0.333 0.667 0.750 1
As2 0.667 0.333 0.250 1
```

Principal peaks in the range 2θ from 5° to 70°, low angle first:
2θ (°)  I (rel.)
17.31  90
22.20  25
23.86  51
28.29  100
34.51  21
35.02  30
38.96  66
42.92  57
48.84  22
53.38  53

=====

2.
# Hg3AsO4
Simulated X-ray powder pattern, Cu Ka. Input: a cell relaxed with PBE.

Structural model:
```
data_Hg3AsO4
_chemical_formula_sum 'Hg12 As4 O16'
_cell_length_a 9.331
_cell_length_b 5.295
_cell_length_c 14.702
_cell_angle_alpha 90.00
_cell_angle_beta 123.10
_cell_angle_gamma 90.00
_symmetry_space_group_name_H-M 'P 1'
_symmetry_Int_Tables_number 1
loop_
_symmetry_equiv_pos_as_xyz
'x,y,z'
loop_
_atom_site_label
_atom_site_fract_x
_atom_site_fract_y
_atom_site_fract_z
_atom_site_occupancy
Hg1 0.037 0.133 0.085 1
Hg2 0.037 0.367 0.585 1
Hg3 0.271 0.136 0.456 1
Hg4 0.271 0.364 0.956 1
Hg5 0.454 0.654 0.126 1
Hg6 0.454 0.846 0.626 1
Hg7 0.546 0.154 0.374 1
Hg8 0.546 0.346 0.874 1
Hg9 0.729 0.636 0.044 1
Hg10 0.729 0.864 0.544 1
Hg11 0.963 0.633 0.415 1
Hg12 0.963 0.867 0.915 1
As1 0.229 0.615 0.273 1
As2 0.229 0.885 0.773 1
As3 0.771 0.115 0.227 1
As4 0.771 0.385 0.727 1
O1 0.047 0.513 0.153 1
O2 0.047 0.987 0.653 1
O3 0.223 0.522 0.384 1
O4 0.223 0.978 0.884 1
O5 0.237 0.560 0.771 1
O6 0.237 0.940 0.271 1
O7 0.407 0.005 0.777 1
O8 0.407 0.495 0.277 1
O9 0.593 0.505 0.723 1
O10 0.593 0.995 0.223 1
O11 0.763 0.060 0.729 1
O12 0.763 0.440 0.229 1
O13 0.777 0.022 0.116 1
O14 0.777 0.478 0.616 1
O15 0.953 0.013 0.347 1
O16 0.953 0.487 0.847 1
```

Principal peaks in the range 2θ from 5° to 70°, low angle first:
2θ (°)  I (rel.)
19.30  23
23.53  34
25.22  24
27.11  29
28.38  100
29.01  65
30.43  61
34.66  30
40.57  45
46.49  45

=====

3.
# Hg9As4O16
Simulated X-ray powder pattern, Cu Ka. Input: a cell relaxed with PBE.

Structural model:
```
data_Hg9As4O16
_chemical_formula_sum 'Hg18 As8 O32'
_cell_length_a 10.574
_cell_length_b 10.574
_cell_length_c 10.574
_cell_angle_alpha 108.37
_cell_angle_beta 108.37
_cell_angle_gamma 108.37
_symmetry_space_group_name_H-M 'P 1'
_symmetry_Int_Tables_number 1
loop_
_symmetry_equiv_pos_as_xyz
'x,y,z'
loop_
_atom_site_label
_atom_site_fract_x
_atom_site_fract_y
_atom_site_fract_z
_atom_site_occupancy
Hg1 0.006 0.621 0.763 1
Hg2 0.057 0.107 0.836 1
Hg3 0.107 0.836 0.057 1
Hg4 0.121 0.506 0.263 1
Hg5 0.263 0.121 0.506 1
Hg6 0.296 0.852 0.929 1
Hg7 0.336 0.607 0.557 1
Hg8 0.352 0.796 0.429 1
Hg9 0.429 0.352 0.796 1
Hg10 0.506 0.263 0.121 1
Hg11 0.557 0.336 0.607 1
Hg12 0.607 0.557 0.336 1
Hg13 0.621 0.763 0.006 1
Hg14 0.763 0.006 0.621 1
Hg15 0.796 0.429 0.352 1
Hg16 0.836 0.057 0.107 1
Hg17 0.852 0.929 0.296 1
Hg18 0.929 0.296 0.852 1
As1 0.037 0.820 0.540 1
As2 0.040 0.320 0.537 1
As3 0.217 0.217 0.217 1
As4 0.320 0.537 0.040 1
As5 0.537 0.040 0.320 1
As6 0.540 0.037 0.820 1
As7 0.717 0.717 0.717 1
As8 0.820 0.540 0.037 1
O1 0.017 0.646 0.530 1
O2 0.030 0.146 0.517 1
O3 0.064 0.251 0.149 1
O4 0.118 0.936 0.729 1
O5 0.146 0.517 0.030 1
O6 0.149 0.064 0.251 1
O7 0.155 0.879 0.466 1
O8 0.229 0.436 0.618 1
O9 0.251 0.149 0.064 1
O10 0.306 0.364 0.937 1
O11 0.364 0.937 0.306 1
O12 0.370 0.370 0.370 1
O13 0.379 0.655 0.966 1
O14 0.436 0.618 0.229 1
O15 0.437 0.864 0.806 1
O16 0.466 0.155 0.879 1
O17 0.517 0.030 0.146 1
O18 0.530 0.017 0.646 1
O19 0.564 0.649 0.751 1
O20 0.618 0.229 0.436 1
O21 0.646 0.530 0.017 1
O22 0.649 0.751 0.564 1
O23 0.655 0.966 0.379 1
O24 0.729 0.118 0.936 1
O25 0.751 0.564 0.649 1
O26 0.806 0.437 0.864 1
O27 0.864 0.806 0.437 1
O28 0.870 0.870 0.870 1
O29 0.879 0.466 0.155 1
O30 0.936 0.729 0.118 1
O31 0.937 0.306 0.364 1
O32 0.966 0.379 0.655 1
```

Principal peaks in the range 2θ from 5° to 70°, low angle first:
2θ (°)  I (rel.)
17.69  79
17.92  39
26.93  60
27.37  40
27.52  76
28.90  100
32.73  51
34.58  52
45.29  36
52.66  37

=====

4.
# Hg3AsO5
Simulated X-ray powder pattern, Cu Ka. Input: a cell relaxed with PBE.

Structural model:
```
data_Hg3AsO5
_chemical_formula_sum 'Hg12 As4 O20'
_cell_length_a 7.198
_cell_length_b 9.268
_cell_length_c 10.769
_cell_angle_alpha 90.00
_cell_angle_beta 122.47
_cell_angle_gamma 90.00
_symmetry_space_group_name_H-M 'P 1'
_symmetry_Int_Tables_number 1
loop_
_symmetry_equiv_pos_as_xyz
'x,y,z'
loop_
_atom_site_label
_atom_site_fract_x
_atom_site_fract_y
_atom_site_fract_z
_atom_site_occupancy
Hg1 0.041 0.131 0.054 1
Hg2 0.041 0.369 0.554 1
Hg3 0.226 0.004 0.486 1
Hg4 0.226 0.496 0.986 1
Hg5 0.343 0.137 0.845 1
Hg6 0.343 0.363 0.345 1
Hg7 0.657 0.637 0.655 1
Hg8 0.657 0.863 0.155 1
Hg9 0.774 0.504 0.014 1
Hg10 0.774 0.996 0.514 1
Hg11 0.959 0.631 0.446 1
Hg12 0.959 0.869 0.946 1
As1 0.302 0.740 0.290 1
As2 0.302 0.760 0.790 1
As3 0.698 0.240 0.210 1
As4 0.698 0.260 0.710 1
O1 0.048 0.679 0.243 1
O2 0.048 0.821 0.743 1
O3 0.138 0.136 0.615 1
O4 0.138 0.364 0.115 1
O5 0.336 0.731 0.144 1
O6 0.336 0.769 0.644 1
O7 0.353 0.582 0.857 1
O8 0.353 0.918 0.357 1
O9 0.486 0.129 0.076 1
O10 0.486 0.371 0.576 1
O11 0.514 0.629 0.424 1
O12 0.514 0.871 0.924 1
O13 0.647 0.082 0.643 1
O14 0.647 0.418 0.143 1
O15 0.664 0.231 0.356 1
O16 0.664 0.269 0.856 1
O17 0.862 0.636 0.885 1
O18 0.862 0.864 0.385 1
O19 0.952 0.179 0.257 1
O20 0.952 0.321 0.757 1
```

Principal peaks in the range 2θ from 5° to 70°, low angle first:
2θ (°)  I (rel.)
19.53  38
27.24  100
27.49  48
28.97  45
29.95  74
30.24  40
30.56  95
31.55  41
31.74  59
46.79  46

=====

5.
# HgAsO4
Simulated X-ray powder pattern, Cu Ka. Input: a cell relaxed with PBE.

Structural model:
```
data_HgAsO4
_chemical_formula_sum 'Hg4 As4 O16'
_cell_length_a 5.359
_cell_length_b 12.655
_cell_length_c 7.464
_cell_angle_alpha 90.00
_cell_angle_beta 123.41
_cell_angle_gamma 90.00
_symmetry_space_group_name_H-M 'P 1'
_symmetry_Int_Tables_number 1
loop_
_symmetry_equiv_pos_as_xyz
'x,y,z'
loop_
_atom_site_label
_atom_site_fract_x
_atom_site_fract_y
_atom_site_fract_z
_atom_site_occupancy
Hg1 0.189 0.010 0.260 1
Hg2 0.189 0.490 0.760 1
Hg3 0.811 0.510 0.240 1
Hg4 0.811 0.990 0.740 1
As1 0.407 0.147 0.980 1
As2 0.407 0.353 0.480 1
As3 0.593 0.647 0.520 1
As4 0.593 0.853 0.020 1
O1 0.071 0.113 0.743 1
O2 0.071 0.387 0.243 1
O3 0.299 0.593 0.514 1
O4 0.299 0.907 0.014 1
O5 0.418 0.217 0.504 1
O6 0.418 0.283 0.004 1
O7 0.459 0.119 0.233 1
O8 0.459 0.381 0.733 1
O9 0.541 0.619 0.267 1
O10 0.541 0.881 0.767 1
O11 0.582 0.717 0.996 1
O12 0.582 0.783 0.496 1
O13 0.701 0.093 0.986 1
O14 0.701 0.407 0.486 1
O15 0.929 0.613 0.757 1
O16 0.929 0.887 0.257 1
```

Principal peaks in the range 2θ from 5° to 70°, low angle first:
2θ (°)  I (rel.)
14.00  100
18.28  67
24.21  35
27.11  85
31.17  55
32.02  53
37.02  35
39.52  23
40.64  36
42.88  22

=====

6.
# Hg4As2O7
Simulated X-ray powder pattern, Cu Ka. Input: a cell relaxed with PBE.

Structural model:
```
data_Hg4As2O7
_chemical_formula_sum 'Hg16 As8 O28'
_cell_length_a 10.275
_cell_length_b 12.486
_cell_length_c 7.539
_cell_angle_alpha 90.00
_cell_angle_beta 90.00
_cell_angle_gamma 90.00
_symmetry_space_group_name_H-M 'P 1'
_symmetry_Int_Tables_number 1
loop_
_symmetry_equiv_pos_as_xyz
'x,y,z'
loop_
_atom_site_label
_atom_site_fract_x
_atom_site_fract_y
_atom_site_fract_z
_atom_site_occupancy
Hg1 0.010 0.098 0.058 1
Hg2 0.010 0.402 0.058 1
Hg3 0.105 0.049 0.554 1
Hg4 0.105 0.451 0.554 1
Hg5 0.395 0.549 0.054 1
Hg6 0.395 0.951 0.054 1
Hg7 0.490 0.598 0.558 1
Hg8 0.490 0.902 0.558 1
Hg9 0.510 0.098 0.442 1
Hg10 0.510 0.402 0.442 1
Hg11 0.605 0.049 0.946 1
Hg12 0.605 0.451 0.946 1
Hg13 0.895 0.549 0.446 1
Hg14 0.895 0.951 0.446 1
Hg15 0.990 0.598 0.942 1
Hg16 0.990 0.902 0.942 1
As1 0.197 0.750 0.681 1
As2 0.238 0.250 0.777 1
As3 0.262 0.750 0.277 1
As4 0.303 0.250 0.181 1
As5 0.697 0.750 0.819 1
As6 0.738 0.250 0.723 1
As7 0.762 0.750 0.223 1
As8 0.803 0.250 0.319 1
O1 0.045 0.750 0.785 1
O2 0.085 0.250 0.865 1
O3 0.142 0.750 0.449 1
O4 0.228 0.131 0.214 1
O5 0.228 0.369 0.214 1
O6 0.229 0.636 0.157 1
O7 0.229 0.864 0.157 1
O8 0.271 0.136 0.657 1
O9 0.271 0.364 0.657 1
O10 0.272 0.631 0.714 1
O11 0.272 0.869 0.714 1
O12 0.358 0.250 0.949 1
O13 0.415 0.750 0.365 1
O14 0.455 0.250 0.285 1
O15 0.545 0.750 0.715 1
O16 0.585 0.250 0.635 1
O17 0.642 0.750 0.051 1
O18 0.728 0.131 0.286 1
O19 0.728 0.369 0.286 1
O20 0.729 0.636 0.343 1
O21 0.729 0.864 0.343 1
O22 0.771 0.136 0.843 1
O23 0.771 0.364 0.843 1
O24 0.772 0.631 0.786 1
O25 0.772 0.869 0.786 1
O26 0.858 0.250 0.551 1
O27 0.915 0.750 0.135 1
O28 0.955 0.250 0.215 1
```

Principal peaks in the range 2θ from 5° to 70°, low angle first:
2θ (°)  I (rel.)
14.19  31
17.26  34
22.41  48
23.60  34
27.62  100
28.63  68
29.39  56
32.24  54
33.23  59
45.75  59

=====

7.
# HgAsO4
Simulated X-ray powder pattern, Cu Ka. Input: a cell relaxed with PBE.

Structural model:
```
data_HgAsO4
_chemical_formula_sum 'Hg4 As4 O16'
_cell_length_a 5.629
_cell_length_b 12.058
_cell_length_c 7.022
_cell_angle_alpha 90.00
_cell_angle_beta 120.82
_cell_angle_gamma 90.00
_symmetry_space_group_name_H-M 'P 1'
_symmetry_Int_Tables_number 1
loop_
_symmetry_equiv_pos_as_xyz
'x,y,z'
loop_
_atom_site_label
_atom_site_fract_x
_atom_site_fract_y
_atom_site_fract_z
_atom_site_occupancy
Hg1 0.149 0.012 0.259 1
Hg2 0.149 0.488 0.759 1
Hg3 0.851 0.512 0.241 1
Hg4 0.851 0.988 0.741 1
As1 0.406 0.153 0.983 1
As2 0.406 0.347 0.483 1
As3 0.594 0.653 0.517 1
As4 0.594 0.847 0.017 1
O1 0.109 0.110 0.741 1
O2 0.109 0.390 0.241 1
O3 0.304 0.609 0.511 1
O4 0.304 0.891 0.011 1
O5 0.377 0.205 0.506 1
O6 0.377 0.295 0.006 1
O7 0.446 0.110 0.243 1
O8 0.446 0.390 0.743 1
O9 0.554 0.610 0.257 1
O10 0.554 0.890 0.757 1
O11 0.623 0.705 0.994 1
O12 0.623 0.795 0.494 1
O13 0.696 0.109 0.989 1
O14 0.696 0.391 0.489 1
O15 0.891 0.610 0.759 1
O16 0.891 0.890 0.259 1
```

Principal peaks in the range 2θ from 5° to 70°, low angle first:
2θ (°)  I (rel.)
14.69  100
18.19  52
23.59  56
25.58  51
27.79  77
29.63  31
29.95  57
32.94  37
33.22  67
42.40  28